No. 1
For HfZr2O, a cell relaxed with GGA-PBE gives the simulated powder X-ray diffraction pattern in this record (λ = 1.5418 Å (Cu Kα)).

Lattice parameters (Å, degrees): 5.674 5.198 9.767 90.00 90.00 90.00
Element x y z (fractional)
Hf1 0.097 0.250 0.250
Hf2 0.403 0.750 0.250
Hf3 0.597 0.250 0.750
Hf4 0.903 0.750 0.750
Zr1 0.082 0.244 0.583
Zr2 0.082 0.256 0.917
Zr3 0.418 0.744 0.917
Zr4 0.418 0.756 0.583
Zr5 0.582 0.244 0.417
Zr6 0.582 0.256 0.083
Zr7 0.918 0.744 0.083
Zr8 0.918 0.756 0.417
O1 0.250 0.000 0.085
O2 0.250 0.500 0.415
O3 0.750 0.000 0.915
O4 0.750 0.500 0.585

Main lines, by intensity (15° ≤ 2θ ≤ 90°):
- d 2.481, 36.20 deg, I = 100
- d 2.490, 36.07 deg, I = 56
- d 2.599, 34.51 deg, I = 36
- d 1.478, 62.90 deg, I = 30
- d 2.824, 31.69 deg, I = 23
- d 1.635, 56.26 deg, I = 22
- d 1.912, 47.55 deg, I = 21
- d 1.384, 67.69 deg, I = 20
- d 4.897, 18.11 deg, I = 19
- d 1.363, 68.92 deg, I = 17

=====

No. 2
For SnMoP, a cell relaxed with GGA-PBE gives the simulated powder X-ray diffraction pattern in this record (λ = 1.5418 Å (Cu Kα)).

Lattice parameters (Å, degrees): 3.238 4.557 7.835 90.00 90.00 90.00
Element x y z (fractional)
Sn1 0.000 0.125 0.000
Sn2 0.500 0.875 0.500
Mo1 0.000 0.358 0.380
Mo2 0.500 0.642 0.880
P1 0.000 0.469 0.684
P2 0.500 0.531 0.184

Main lines, by intensity (15° ≤ 2θ ≤ 90°):
- d 2.188, 41.25 deg, I = 100
- d 2.501, 35.90 deg, I = 91
- d 2.639, 33.97 deg, I = 72
- d 2.033, 44.57 deg, I = 62
- d 3.918, 22.70 deg, I = 59
- d 2.971, 30.08 deg, I = 42
- d 2.266, 39.78 deg, I = 39
- d 1.350, 69.64 deg, I = 31
- d 1.683, 54.53 deg, I = 30
- d 1.301, 72.66 deg, I = 24

=====

No. 3
For Ni2PdPt2W, a cell relaxed with GGA-PBE gives the simulated powder X-ray diffraction pattern in this record (λ = 1.5418 Å (Cu Kα)).

Lattice parameters (Å, degrees): 6.700 6.700 6.700 147.02 146.55 47.68
Element x y z (fractional)
Ni1 0.142 0.142 0.000
Ni2 0.858 0.858 0.000
Pd1 0.000 0.500 0.500
Pt1 0.344 0.344 0.000
Pt2 0.656 0.656 0.000
W1 0.500 0.000 0.500

Main lines, by intensity (15° ≤ 2θ ≤ 90°):
- d 2.029, 44.66 deg, I = 100
- d 2.477, 36.27 deg, I = 83
- d 1.928, 47.14 deg, I = 30
- d 2.784, 32.16 deg, I = 29
- d 2.043, 44.35 deg, I = 28
- d 1.901, 47.84 deg, I = 28
- d 3.678, 24.20 deg, I = 22
- d 1.354, 69.42 deg, I = 19
- d 1.117, 87.33 deg, I = 18
- d 1.128, 86.18 deg, I = 17

=====

No. 4
For Li6ZnPt, a cell relaxed with GGA-PBE gives the simulated powder X-ray diffraction pattern in this record (λ = 1.5418 Å (Cu Kα)).

Lattice parameters (Å, degrees): 4.955 4.962 4.978 89.90 88.54 89.48
Element x y z (fractional)
Li1 0.001 0.240 0.000
Li2 0.240 0.499 0.501
Li3 0.498 0.000 0.740
Li4 0.502 0.000 0.260
Li5 0.760 0.501 0.499
Li6 0.999 0.760 0.000
Zn1 0.500 0.500 0.000
Pt1 0.000 0.000 0.500

Main lines, by intensity (15° ≤ 2θ ≤ 90°):
- d 3.516, 25.33 deg, I = 100
- d 4.964, 17.87 deg, I = 51
- d 3.556, 25.04 deg, I = 34
- d 2.012, 45.05 deg, I = 34
- d 3.490, 25.53 deg, I = 33
- d 3.467, 25.70 deg, I = 32
- d 2.479, 36.24 deg, I = 31
- d 2.050, 44.19 deg, I = 18
- d 2.042, 44.36 deg, I = 18
- d 2.488, 36.10 deg, I = 16

=====

No. 5
For CeSm7Dy4, a cell relaxed with GGA-PBE gives the simulated powder X-ray diffraction pattern in this record (λ = 1.5418 Å (Cu Kα)).

Lattice parameters (Å, degrees): 10.085 10.085 6.007 90.25 90.25 40.63
Element x y z (fractional)
Ce1 0.000 0.000 0.000
Sm1 0.000 0.000 0.500
Sm2 0.187 0.187 0.749
Sm3 0.287 0.287 0.250
Sm4 0.462 0.462 0.248
Sm5 0.538 0.538 0.752
Sm6 0.713 0.713 0.750
Sm7 0.813 0.813 0.251
Dy1 0.131 0.597 0.751
Dy2 0.403 0.869 0.249
Dy3 0.597 0.131 0.751
Dy4 0.869 0.403 0.249

Main lines, by intensity (15° ≤ 2θ ≤ 90°):
- d 2.881, 31.04 deg, I = 100
- d 2.814, 31.80 deg, I = 59
- d 2.797, 32.00 deg, I = 37
- d 3.003, 29.75 deg, I = 36
- d 2.786, 32.13 deg, I = 35
- d 2.731, 32.79 deg, I = 24
- d 1.483, 62.64 deg, I = 20
- d 3.153, 28.31 deg, I = 15
- d 1.751, 52.25 deg, I = 15
- d 2.906, 30.76 deg, I = 15

=====

No. 6
For Te2MoWS2, a cell relaxed with GGA-PBE gives the simulated powder X-ray diffraction pattern in this record (λ = 1.5418 Å (Cu Kα)).

Lattice parameters (Å, degrees): 3.358 3.358 37.971 90.00 90.00 120.00
Element x y z (fractional)
Te1 0.000 0.000 0.000
Te2 0.000 0.000 0.100
Te3 0.000 0.000 0.385
Te4 0.000 0.000 0.485
Mo1 0.000 0.000 0.860
Mo2 0.333 0.667 0.435
W1 0.000 0.000 0.242
W2 0.333 0.667 0.050
S1 0.333 0.667 0.202
S2 0.333 0.667 0.282
S3 0.333 0.667 0.821
S4 0.333 0.667 0.900

Main lines, by intensity (15° ≤ 2θ ≤ 90°):
- d 2.480, 36.23 deg, I = 100
- d 2.906, 30.77 deg, I = 60
- d 2.061, 43.94 deg, I = 55
- d 1.679, 54.68 deg, I = 35
- d 2.563, 35.01 deg, I = 27
- d 1.230, 77.62 deg, I = 21
- d 1.390, 67.36 deg, I = 17
- d 2.716, 32.98 deg, I = 15
- d 4.746, 18.70 deg, I = 13
- d 2.309, 39.01 deg, I = 13